# 1
For TiBi2O6, a DFT-relaxed cell (GGA-PBE, Alexandria) gives the theoretical PXRD pattern in this record (Cu Kα).
Intensities are scaled so that the largest is 100.

Largest 6 diffraction maxima, low angle first, 10° ≤ 2θ ≤ 90°:
| d [Å] | 2θ (°) | I/Imax | index |
| --- | --- | --- | --- |
| 4.858 | 18.3 | 63 | 0 0 2 |
| 3.795 | 23.4 | 50 | 1 1 0 |
| 2.991 | 29.9 | 100 | 1 1 2 |
| 2.683 | 33.4 | 35 | 2 0 0 |
| 2.349 | 38.3 | 41 | 2 0 2 |
| 2.046 | 44.3 | 34 | 1 1 4 |

Crystal structure
```
data_TiBi2O6
_chemical_formula_sum 'Ti2 Bi4 O12'
_cell_length_a 5.367
_cell_length_b 5.367
_cell_length_c 9.717
_cell_angle_alpha 90.00
_cell_angle_beta 90.00
_cell_angle_gamma 90.00
_symmetry_space_group_name_H-M 'I 4 m m'
_symmetry_Int_Tables_number 107
_symmetry_space_group_name_Hall 'I 4 -2'
loop_
_atom_site_label
_atom_site_type_symbol
_atom_site_fract_x
_atom_site_fract_y
_atom_site_fract_z
_atom_site_occupancy
Ti1 Ti 0.000 0.000 0.000 1
Bi1 Bi 0.000 0.500 0.196 1
O1 O 0.000 0.000 0.279 1
O2 O 0.000 0.000 0.816 1
O3 O 0.240 0.240 0.071 1
```

# 2
For Ti3Bi4O12, a DFT-relaxed cell (GGA-PBE, Alexandria) gives the theoretical PXRD pattern in this record (Cu Kα).
Intensities are scaled so that the largest is 100.

Largest 6 diffraction maxima, low angle first, 10° ≤ 2θ ≤ 90°:
| d [Å] | 2θ (°) | I/Imax | index |
| --- | --- | --- | --- |
| 3.847 | 23.1 | 51 | 1 1 -1 |
| 3.024 | 29.5 | 100 | 7 1 -1 |
| 3.012 | 29.7 | 100 | 7 1 1 |
| 2.757 | 32.5 | 37 | 0 0 2 |
| 2.719 | 32.9 | 40 | 0 2 0 |
| 1.936 | 46.9 | 35 | 0 2 2 |

Crystal structure
```
data_Ti3Bi4O12
_chemical_formula_sum 'Ti12 Bi16 O48'
_cell_length_a 33.719
_cell_length_b 5.438
_cell_length_c 5.514
_cell_angle_alpha 90.00
_cell_angle_beta 90.31
_cell_angle_gamma 90.00
_symmetry_space_group_name_H-M 'C 1 c 1'
_symmetry_Int_Tables_number 9
loop_
_symmetry_equiv_pos_as_xyz
'x,y,z'
'x,-y,z+1/2'
'x+1/2,y+1/2,z'
'x+1/2,-y+1/2,z+1/2'
loop_
_atom_site_label
_atom_site_type_symbol
_atom_site_fract_x
_atom_site_fract_y
_atom_site_fract_z
_atom_site_occupancy
Ti1 Ti 0.000 0.243 0.000 1
Ti2 Ti 0.132 0.248 0.998 1
Ti3 Ti 0.376 0.256 0.503 1
Bi1 Bi 0.070 0.257 0.450 1
Bi2 Bi 0.218 0.253 0.420 1
Bi3 Bi 0.294 0.237 0.913 1
Bi4 Bi 0.437 0.243 0.962 1
O1 O 0.008 0.047 0.328 1
O2 O 0.057 0.320 0.046 1
O3 O 0.113 0.015 0.747 1
O4 O 0.123 0.469 0.293 1
O5 O 0.183 0.215 0.004 1
O6 O 0.254 0.003 0.195 1
O7 O 0.255 0.497 0.691 1
O8 O 0.323 0.185 0.513 1
O9 O 0.377 0.447 0.824 1
O10 O 0.393 0.034 0.249 1
O11 O 0.442 0.329 0.552 1
O12 O 0.489 0.036 0.252 1
```

# 3
For Ti2BiO5, a DFT-relaxed cell (GGA-PBE, Alexandria) gives the theoretical PXRD pattern in this record (Cu Kα).
Intensities are scaled so that the largest is 100.

Largest 6 diffraction maxima, low angle first, 10° ≤ 2θ ≤ 90°:
| d [Å] | 2θ (°) | I/Imax | index |
| --- | --- | --- | --- |
| 5.873 | 15.1 | 100 | 0 2 0 |
| 4.599 | 19.3 | 75 | 0 1 1 |
| 3.806 | 23.4 | 73 | 0 2 1 |
| 3.082 | 29.0 | 82 | 0 3 1 |
| 2.968 | 30.1 | 83 | 1 0 1 |
| 2.685 | 33.4 | 86 | 1 3 0 |

Crystal structure
```
data_Ti2BiO5
_chemical_formula_sum 'Ti4 Bi2 O10'
_cell_length_a 3.689
_cell_length_b 11.746
_cell_length_c 4.998
_cell_angle_alpha 90.00
_cell_angle_beta 90.00
_cell_angle_gamma 90.00
_symmetry_space_group_name_H-M 'P m m n'
_symmetry_Int_Tables_number 59
loop_
_symmetry_equiv_pos_as_xyz
'x,y,z'
'-x,-y,-z'
'-x+1/2,-y+1/2,z'
'x+1/2,y+1/2,-z'
'x+1/2,-y,-z'
'-x+1/2,y,z'
'-x,y+1/2,-z'
'x,-y+1/2,z'
loop_
_atom_site_label
_atom_site_type_symbol
_atom_site_fract_x
_atom_site_fract_y
_atom_site_fract_z
_atom_site_occupancy
Ti1 Ti 0.250 0.091 0.104 1
Bi1 Bi 0.250 0.750 0.357 1
O1 O 0.250 0.124 0.448 1
O2 O 0.250 0.250 0.947 1
O3 O 0.250 0.582 0.050 1
```

# 4
For TiBi2O, a DFT-relaxed cell (GGA-PBE, Alexandria) gives the theoretical PXRD pattern in this record (Cu Kα).
Intensities are scaled so that the largest is 100.

Largest 6 diffraction maxima, low angle first, 10° ≤ 2θ ≤ 90°:
| d [Å] | 2θ (°) | I/Imax | index |
| --- | --- | --- | --- |
| 3.520 | 25.3 | 41 | 2 0 0 |
| 2.905 | 30.8 | 100 | 1 1 2 |
| 2.881 | 31.0 | 52 | 2 1 1 |
| 2.489 | 36.1 | 24 | 2 2 0 |
| 1.890 | 48.1 | 25 | 3 1 2 |
| 1.883 | 48.3 | 24 | 3 2 1 |

Crystal structure
```
data_TiBi2O
_chemical_formula_sum 'Ti4 Bi8 O4'
_cell_length_a 7.039
_cell_length_b 7.039
_cell_length_c 7.154
_cell_angle_alpha 90.00
_cell_angle_beta 90.00
_cell_angle_gamma 90.00
_symmetry_space_group_name_H-M 'I -4 2 d'
_symmetry_Int_Tables_number 122
_symmetry_space_group_name_Hall 'I -4 2bw'
loop_
_atom_site_label
_atom_site_type_symbol
_atom_site_fract_x
_atom_site_fract_y
_atom_site_fract_z
_atom_site_occupancy
Ti1 Ti 0.000 0.000 0.000 1
Bi1 Bi 0.179 0.250 0.625 1
O1 O 0.000 0.000 0.500 1
```

# 5
For Ti3Bi4O12, a DFT-relaxed cell (GGA-PBE, Alexandria) gives the theoretical PXRD pattern in this record (Cu Kα).
Intensities are scaled so that the largest is 100.

Largest 6 diffraction maxima, low angle first, 10° ≤ 2θ ≤ 90°:
| d [Å] | 2θ (°) | I/Imax | index |
| --- | --- | --- | --- |
| 3.857 | 23.1 | 26 | 0 1 1 |
| 3.019 | 29.6 | 100 | 4 1 -1 |
| 2.763 | 32.4 | 19 | 1 0 -2 |
| 2.728 | 32.8 | 20 | 0 2 0 |
| 1.942 | 46.8 | 22 | 1 2 -2 |
| 1.626 | 56.6 | 16 | 4 3 -1 |

Crystal structure
```
data_Ti3Bi4O12
_chemical_formula_sum 'Ti6 Bi8 O24'
_cell_length_a 17.014
_cell_length_b 5.457
_cell_length_c 5.526
_cell_angle_alpha 90.00
_cell_angle_beta 99.14
_cell_angle_gamma 90.00
_symmetry_space_group_name_H-M 'P 1 c 1'
_symmetry_Int_Tables_number 7
loop_
_symmetry_equiv_pos_as_xyz
'x,y,z'
'x,-y,z+1/2'
loop_
_atom_site_label
_atom_site_type_symbol
_atom_site_fract_x
_atom_site_fract_y
_atom_site_fract_z
_atom_site_occupancy
Ti1 Ti 0.000 0.244 0.000 1
Ti2 Ti 0.491 0.248 0.741 1
Ti3 Ti 0.751 0.245 0.871 1
Bi1 Bi 0.166 0.275 0.495 1
Bi2 Bi 0.319 0.228 0.077 1
Bi3 Bi 0.613 0.255 0.256 1
Bi4 Bi 0.878 0.256 0.396 1
O1 O 0.104 0.318 0.061 1
O2 O 0.243 0.009 0.311 1
O3 O 0.246 0.491 0.812 1
O4 O 0.388 0.191 0.695 1
O5 O 0.503 0.466 0.047 1
O6 O 0.528 0.017 0.510 1
O7 O 0.637 0.320 0.861 1
O8 O 0.734 0.042 0.187 1
O9 O 0.772 0.467 0.636 1
O10 O 0.866 0.172 0.982 1
O11 O 0.965 0.467 0.729 1
O12 O 0.997 0.052 0.318 1
```

# 6
For Ti3Bi4O12, a DFT-relaxed cell (GGA-PBE, Alexandria) gives the theoretical PXRD pattern in this record (Cu Kα).
Intensities are scaled so that the largest is 100.

Largest 6 diffraction maxima, low angle first, 10° ≤ 2θ ≤ 90°:
| d [Å] | 2θ (°) | I/Imax | index |
| --- | --- | --- | --- |
| 5.622 | 15.8 | 28 | 0 0 3 |
| 3.841 | 23.2 | 45 | 1 1 -1 |
| 3.082 | 29.0 | 100 | 1 1 3 |
| 2.968 | 30.1 | 71 | 1 1 -4 |
| 2.722 | 32.9 | 35 | 0 2 0 |
| 1.941 | 46.8 | 30 | 2 2 -1 |

Crystal structure
```
data_Ti3Bi4O12
_chemical_formula_sum 'Ti6 Bi8 O24'
_cell_length_a 5.547
_cell_length_b 5.445
_cell_length_c 16.967
_cell_angle_alpha 90.00
_cell_angle_beta 96.23
_cell_angle_gamma 90.00
_symmetry_space_group_name_H-M 'C 1 2/m 1'
_symmetry_Int_Tables_number 12
loop_
_symmetry_equiv_pos_as_xyz
'x,y,z'
'-x,-y,-z'
'-x,y,-z'
'x,-y,z'
'x+1/2,y+1/2,z'
'-x+1/2,-y+1/2,-z'
'-x+1/2,y+1/2,-z'
'x+1/2,-y+1/2,z'
loop_
_atom_site_label
_atom_site_type_symbol
_atom_site_fract_x
_atom_site_fract_y
_atom_site_fract_z
_atom_site_occupancy
Ti1 Ti 0.000 0.000 0.000 1
Ti2 Ti 0.109 0.000 0.254 1
Bi1 Bi 0.126 0.500 0.132 1
Bi2 Bi 0.247 0.000 0.576 1
O1 O 0.000 0.251 0.500 1
O2 O 0.021 0.000 0.118 1
O3 O 0.131 0.000 0.361 1
O4 O 0.178 0.241 0.769 1
O5 O 0.250 0.250 0.000 1
```

# 7
For TiZnBi2O6, a DFT-relaxed cell (GGA-PBE, Alexandria) gives the theoretical PXRD pattern in this record (Cu Kα).
Intensities are scaled so that the largest is 100.

Largest 6 diffraction maxima, low angle first, 10° ≤ 2θ ≤ 90°:
| d [Å] | 2θ (°) | I/Imax | index |
| --- | --- | --- | --- |
| 4.635 | 19.2 | 64 | 0 1 1 |
| 3.526 | 25.3 | 44 | 0 0 2 |
| 3.074 | 29.0 | 31 | 0 2 0 |
| 2.850 | 31.4 | 100 | 2 1 1 |
| 1.876 | 48.5 | 26 | 2 1 3 |
| 1.728 | 53.0 | 24 | 2 3 1 |

Crystal structure
```
data_TiZnBi2O6
_chemical_formula_sum 'Ti2 Zn2 Bi4 O12'
_cell_length_a 7.227
_cell_length_b 6.149
_cell_length_c 7.052
_cell_angle_alpha 90.00
_cell_angle_beta 90.00
_cell_angle_gamma 90.00
_symmetry_space_group_name_H-M 'A m m 2'
_symmetry_Int_Tables_number 38
loop_
_symmetry_equiv_pos_as_xyz
'x,y,z'
'-x,-y,z'
'-x,y,z'
'x,-y,z'
'x,y+1/2,z+1/2'
'-x,-y+1/2,z+1/2'
'-x,y+1/2,z+1/2'
'x,-y+1/2,z+1/2'
loop_
_atom_site_label
_atom_site_type_symbol
_atom_site_fract_x
_atom_site_fract_y
_atom_site_fract_z
_atom_site_occupancy
Ti1 Ti 0.000 0.000 0.000 1
Zn1 Zn 0.500 0.000 0.001 1
Bi1 Bi 0.262 0.000 0.581 1
O1 O 0.000 0.240 0.148 1
O2 O 0.239 0.000 0.888 1
O3 O 0.500 0.224 0.638 1
```

# 8
For TiZnBi2O6, a DFT-relaxed cell (GGA-PBE, Alexandria) gives the theoretical PXRD pattern in this record (Cu Kα).
Intensities are scaled so that the largest is 100.

Largest 6 diffraction maxima, low angle first, 10° ≤ 2θ ≤ 90°:
| d [Å] | 2θ (°) | I/Imax | index |
| --- | --- | --- | --- |
| 4.968 | 17.9 | 60 | 0 0 2 |
| 3.830 | 23.2 | 44 | 1 1 0 |
| 3.069 | 29.1 | 100 | 1 1 -2 |
| 2.999 | 29.8 | 84 | 1 1 2 |
| 2.694 | 33.3 | 35 | 0 2 0 |
| 1.915 | 47.5 | 32 | 2 2 0 |

Crystal structure
```
data_TiZnBi2O6
_chemical_formula_sum 'Ti2 Zn2 Bi4 O12'
_cell_length_a 5.448
_cell_length_b 5.388
_cell_length_c 9.941
_cell_angle_alpha 90.00
_cell_angle_beta 91.95
_cell_angle_gamma 90.00
_symmetry_space_group_name_H-M 'C 1 m 1'
_symmetry_Int_Tables_number 8
loop_
_symmetry_equiv_pos_as_xyz
'x,y,z'
'x,-y,z'
'x+1/2,y+1/2,z'
'x+1/2,-y+1/2,z'
loop_
_atom_site_label
_atom_site_type_symbol
_atom_site_fract_x
_atom_site_fract_y
_atom_site_fract_z
_atom_site_occupancy
Ti1 Ti 0.000 0.000 0.000 1
Zn1 Zn 0.489 0.500 0.486 1
Bi1 Bi 0.000 0.500 0.686 1
Bi2 Bi 0.072 0.500 0.216 1
O1 O 0.235 0.258 0.059 1
O2 O 0.241 0.250 0.566 1
O3 O 0.457 0.500 0.286 1
O4 O 0.496 0.500 0.828 1
```